Starting from a structure optimized by DFT (GGA+U), the powder XRD pattern of Li2NiP4O12 was simulated for Cu Kα X-rays.
Neutral-atom scattering factors, no anomalous dispersion.

Cell and atoms:
a b c (Å): 9.126 9.310 7.175
angles (deg): 90.00 129.25 90.00
Space group C2 (No. 5)
One atom of each set of equivalent atoms:
Li: 0.000 0.000 0.000
Li: 0.000 0.305 0.000
Ni: 0.000 0.469 0.500
P: 0.171 0.704 0.363
P: 0.206 0.605 0.006
O: 0.054 0.736 0.859
O: 0.107 0.148 0.923
O: 0.116 0.466 0.866
O: 0.187 0.632 0.561
O: 0.223 0.588 0.243
O: 0.229 0.342 0.596

Largest 10 diffraction maxima, most intense first, 15 to 90 degrees two-theta:
2θ 15.76, intensity 100
2θ 27.70, intensity 28
2θ 27.37, intensity 27
2θ 31.84, intensity 27
2θ 19.07, intensity 27
2θ 37.99, intensity 13
2θ 42.38, intensity 12
2θ 24.95, intensity 10
2θ 46.74, intensity 10
2θ 31.49, intensity 10